Diffraction record for RbFeF4. The XRD peak list is theoretical, not measured: it uses a crystal structure in Alexandria, relaxed with PBE+U and Cu Kα.
No peak broadening, texture or thermal motion is included.

a b c (Å): 6.344 7.787 7.820
angles (deg): 90.00 90.00 90.00
Fractional positions:
Rb  0.005  0.202  0.250
Rb  0.005  0.298  0.750
Rb  0.995  0.702  0.250
Rb  0.995  0.798  0.750
Fe  0.500  0.000  0.000
Fe  0.500  0.000  0.500
Fe  0.500  0.500  0.000
Fe  0.500  0.500  0.500
F  0.216  0.555  0.548
F  0.216  0.555  0.952
F  0.216  0.945  0.048
F  0.216  0.945  0.452
F  0.414  0.250  0.000
F  0.414  0.250  0.500
F  0.428  0.514  0.250
F  0.428  0.986  0.750
F  0.572  0.014  0.250
F  0.572  0.486  0.750
F  0.586  0.750  0.000
F  0.586  0.750  0.500
F  0.784  0.055  0.548
F  0.784  0.055  0.952
F  0.784  0.445  0.048
F  0.784  0.445  0.452

Most intense lines, 15° ≤ 2θ ≤ 90°, most intense first:
two_theta	Rel. int.	index
26.8	100	1 0 2
49.0	27	3 0 2
32.5	24	0 2 2
28.1	22	2 0 0
54.5	12	1 2 4
46.5	12	0 0 4
43.5	12	2 2 2
50.4	11	1 4 1
29.2	9	1 2 1
38.4	9	2 2 1